1.
# Ac4ErSb5
Calculated powder diffraction line list, Cu Kα (weighted mean of Kα1 and Kα2). Input: a structure optimized by DFT (PBE).

Peak list (10 most intense, 10° ≤ 2θ ≤ 90°, in order of falling intensity)
d [Å]  2theta  I (rel.)  h k l
2.360  38.14  100  1 3 2
3.331  26.76  85  1 3 0
3.348  26.63  43  0 0 2
1.927  47.18  36  4 2 2
1.491  62.29  31  2 6 2
1.361  69.00  23  7 1 2
3.853  23.08  17  2 1 1
1.496  62.05  16  1 3 4
1.113  87.69  12  7 1 4
1.365  68.80  12  4 2 4

Cell and atoms:
a b c (Å): 10.535 10.535 6.696
angles (deg): 90.00 90.00 90.00
Space group I4/m (No. 87)
Inequivalent atoms, fractional coordinates:
Ac 0.096 0.300 0.000
Er 0.000 0.000 0.500
Sb 0.000 0.000 0.000
Sb 0.096 0.286 0.500

2.
# LaInHg4
Calculated powder diffraction line list, Cu Kα (weighted mean of Kα1 and Kα2). Input: a structure optimized by DFT (PBE).

Peak list (10 most intense, 10° ≤ 2θ ≤ 90°, in order of falling intensity)
d [Å]  2theta  I (rel.)  h k l
2.705  33.12  100  1 3 1
2.479  36.24  20  0 0 2
2.447  36.74  19  2 0 0
1.471  63.22  16  1 3 3
1.457  63.87  15  3 3 1
1.741  52.56  14  2 0 2
2.148  42.07  13  0 6 0
1.353  69.50  12  2 6 2
1.623  56.71  11  0 6 2
1.614  57.06  10  2 6 0

Cell and atoms:
a b c (Å): 4.893 12.887 4.957
angles (deg): 90.00 90.00 90.00
Space group Cmmm (No. 65)
Inequivalent atoms, fractional coordinates:
La 0.000 0.000 0.000
In 0.000 0.500 0.500
Hg 0.000 0.169 0.500
Hg 0.000 0.325 0.000

3.
# HoAsP
Calculated powder diffraction line list, Cu Kα (weighted mean of Kα1 and Kα2). Input: a structure optimized by DFT (PBE).

Peak list (10 most intense, 10° ≤ 2θ ≤ 90°, in order of falling intensity)
d [Å]  2theta  I (rel.)  h k l
2.693  33.26  100  1 1 0
3.303  27.00  100  1 0 3
2.276  39.60  95  1 0 7
4.967  17.86  63  0 0 4
1.461  63.72  46  2 1 7
2.368  38.00  38  1 1 4
1.905  47.75  36  2 0 0
1.650  55.71  30  2 1 3
1.778  51.38  16  2 0 4
1.205  79.58  16  3 1 0

Cell and atoms:
a b c (Å): 3.809 3.809 19.866
angles (deg): 90.00 90.00 90.00
Space group I4/mmm (No. 139)
Inequivalent atoms, fractional coordinates:
Ho 0.000 0.000 0.155
As 0.000 0.000 0.423
P 0.000 0.000 0.305

4.
# Pm7Ir2Pb2
Calculated powder diffraction line list, Cu Kα (weighted mean of Kα1 and Kα2). Input: a structure optimized by DFT (PBE).

Peak list (10 most intense, 10° ≤ 2θ ≤ 90°, in order of falling intensity)
d [Å]  2theta  I (rel.)  h k l
2.490  36.07  100  2 2 2
2.804  31.91  54  0 4 0
3.682  24.17  51  2 0 1
4.456  19.93  42  0 2 1
2.503  35.88  37  1 3 2
3.226  27.65  30  1 1 2
2.231  40.43  19  2 4 1
2.161  41.81  19  3 3 1
1.834  49.72  18  0 0 4
1.551  59.60  18  2 6 2

Cell and atoms:
a b c (Å): 8.515 11.218 7.335
angles (deg): 90.00 90.00 90.00
Space group Cmmm (No. 65)
Inequivalent atoms, fractional coordinates:
Pm 0.000 0.000 0.000
Pm 0.000 0.500 0.232
Pm 0.250 0.250 0.245
Ir 0.000 0.283 0.000
Pb 0.184 0.000 0.500

5.
# NpPa2P2N2
Calculated powder diffraction line list, Cu Kα (weighted mean of Kα1 and Kα2). Input: a structure optimized by DFT (PBE).

Peak list (10 most intense, 10° ≤ 2θ ≤ 90°, in order of falling intensity)
d [Å]  2theta  I (rel.)  h k l
2.812  31.82  100  1 1 1
2.975  30.03  70  4 0 -1
3.358  26.54  57  2 0 -2
2.435  36.92  57  3 1 -2
3.589  24.81  50  1 1 0
2.760  32.44  34  3 1 -1
3.076  29.03  34  2 0 1
1.796  50.85  32  5 1 0
1.829  49.86  28  1 1 -3
1.513  61.28  26  5 1 -4

Cell and atoms:
a b c (Å): 11.957 3.837 6.722
angles (deg): 90.00 121.81 90.00
Space group C2/m (No. 12)
Inequivalent atoms, fractional coordinates:
Np 0.000 0.000 0.000
Pa 0.189 0.000 0.729
P 0.070 0.500 0.343
N 0.209 0.000 0.090

6.
# Cs2CdHg12
Calculated powder diffraction line list, Cu Kα (weighted mean of Kα1 and Kα2). Input: a structure optimized by DFT (PBE).

Peak list (10 most intense, 10° ≤ 2θ ≤ 90°, in order of falling intensity)
d [Å]  2theta  I (rel.)  h k l
2.620  34.22  100  2 2 0
3.440  25.90  73  2 0 2
2.375  37.88  56  2 0 6
3.474  25.64  39  1 1 4
2.665  33.63  31  1 1 6
2.921  30.61  27  2 1 3
1.649  55.74  26  3 1 8
1.519  60.98  25  4 0 7
2.697  33.22  24  2 1 4
2.091  43.27  21  3 1 4

Cell and atoms:
a b c (Å): 7.407 7.407 18.573
angles (deg): 90.00 90.00 90.00
Space group P4/nbm (No. 125, origin choice 2)
Inequivalent atoms, fractional coordinates:
Cs 0.250 0.750 0.246
Cd 0.250 0.750 0.000
Hg 0.000 0.000 0.086
Hg 0.093 0.593 0.435
Hg 0.250 0.250 0.179
Hg 0.250 0.250 0.352

7.
# PrSm2UO8
Calculated powder diffraction line list, Cu Kα (weighted mean of Kα1 and Kα2). Input: a structure optimized by DFT (PBE).

Peak list (10 most intense, 10° ≤ 2θ ≤ 90°, in order of falling intensity)
d [Å]  2theta  I (rel.)  h k l
3.209  27.80  100  1 1 0
3.156  28.28  95  0 1 2
1.945  46.70  67  1 2 2
1.656  55.50  44  1 3 0
2.767  32.36  43  1 0 2
1.678  54.69  31  2 1 2
2.735  32.74  21  0 2 0
1.982  45.79  18  2 0 0
1.932  47.04  16  0 0 4
1.649  55.74  15  0 3 2

Cell and atoms:
a b c (Å): 3.963 5.471 7.727
angles (deg): 90.00 90.00 90.00
Space group Pmmm (No. 47)
Inequivalent atoms, fractional coordinates:
Pr 0.000 0.000 0.000
Sm 0.500 0.500 0.257
U 0.000 0.000 0.500
O 0.000 0.239 0.281
O 0.500 0.225 0.500
O 0.500 0.260 0.000

8.
# YCu2AsPb
Calculated powder diffraction line list, Cu Kα (weighted mean of Kα1 and Kα2). Input: a structure optimized by DFT (PBE).

Peak list (10 most intense, 10° ≤ 2θ ≤ 90°, in order of falling intensity)
d [Å]  2theta  I (rel.)  h k l
3.014  29.64  100  1 1 1
2.572  34.88  78  2 0 0
3.720  23.92  73  1 0 1
1.860  48.98  59  2 0 2
2.692  33.28  44  0 0 2
3.638  24.47  40  1 1 0
2.116  42.74  33  2 1 1
1.507  61.53  30  2 2 2
1.557  59.34  28  3 1 1
1.819  50.16  28  2 2 0

Cell and atoms:
a b c (Å): 5.144 5.144 5.385
angles (deg): 90.00 90.00 90.00
Space group P4/mmm (No. 123)
Inequivalent atoms, fractional coordinates:
Y 0.000 0.000 0.000
Cu 0.000 0.500 0.000
As 0.000 0.000 0.500
Pb 0.500 0.500 0.500